Structure and calculated X-ray diffraction stick pattern of TiCdI6 (a cell relaxed with PBE; Cu Kα X-rays).

Cell lengths 7.2613, 13.5903, 7.2512 Å; angles 90.00, 111.64, 90.00 degrees
Space group C2/m (No. 12)
Unique sites:
Ti 0.0000 0.0000 0.0000 x2
Cd 0.0000 0.5000 0.5000 x2
I 0.2266 0.0000 0.7763 x4
I 0.2391 0.1492 0.2408 x8

Most intense lines, 2θ = 10–90°, in order of falling intensity:
- d 3.030, 29.48 deg, I 100
- d 2.132, 42.39 deg, I 66
- d 3.616, 24.62 deg, I 61
- d 3.372, 26.43 deg, I 55
- d 3.001, 29.77 deg, I 47
- d 6.795, 13.03 deg, I 31
- d 2.264, 39.82 deg, I 28
- d 5.491, 16.14 deg, I 27
- d 1.807, 50.50 deg, I 24
- d 2.038, 44.45 deg, I 16